No. 1
Diffraction record for Cs2CuBrCl3. The powder X-ray diffraction pattern is theoretical, not measured: it uses a DFT-relaxed cell (GGA-PBE, the Materials Project) and CuKα.

The 12 most intense peaks (10 to 80 degrees two-theta), most intense first:
Position (°2θ)	Rel. int.	index
24.47	100	1 1 0
32.39	89	1 1 4
34.88	76	2 0 0
23.35	51	1 0 3
31.54	40	0 0 6
47.74	36	2 0 6
56.11	29	2 0 8
60.98	27	3 1 4
50.16	26	2 2 0
20.89	24	0 0 4
42.40	22	2 1 3
10.40	21	0 0 2

Structural model:
```
data_Cs2CuBrCl3
_chemical_formula_sum 'Cs4 Cu2 Br2 Cl6'
_space_group_name_H-M_alt 'I 4 m m'
_space_group_IT_number 107
_space_group_name_Hall 'I 4 -2'
_cell_length_a 5.144
_cell_length_b 5.144
_cell_length_c 17.009
_cell_angle_alpha 90.00
_cell_angle_beta 90.00
_cell_angle_gamma 90.00
loop_
_atom_site_label
_atom_site_type_symbol
_atom_site_fract_x
_atom_site_fract_y
_atom_site_fract_z
Cs1 Cs 0.000 0.000 0.000
Cs2 Cs 0.000 0.000 0.273
Cu1 Cu 0.000 0.000 0.632
Br1 Br 0.000 0.000 0.781
Cl1 Cl 0.000 0.000 0.495
Cl2 Cl 0.000 0.500 0.135
```



No. 2
Diffraction record for ZnSn2O4. The powder X-ray diffraction pattern is theoretical, not measured: it uses a DFT-relaxed cell (GGA-PBE, the Materials Project) and CuKα.

The 12 most intense peaks (10 to 80 degrees two-theta), most intense first:
Position (°2θ)	Rel. int.	index
37.45	100	0 2 4
28.83	84	0 1 5
14.31	76	0 0 3
33.33	64	2 0 2
31.13	54	1 1 3
32.23	47	0 2 1
56.76	43	2 2 0
49.45	36	1 2 5
16.49	32	1 0 1
59.73	31	0 0 12
51.05	27	2 0 8
64.91	24	3 1 5

Structural model:
```
data_ZnSn2O4
_chemical_formula_sum 'Zn6 Sn12 O24'
_space_group_name_H-M_alt 'R -3 m'
_space_group_IT_number 166
_space_group_name_Hall '-R 3 2"'
_cell_length_a 6.4873
_cell_length_b 6.4873
_cell_length_c 18.5623
_cell_angle_alpha 90.00
_cell_angle_beta 90.00
_cell_angle_gamma 120.00
loop_
_atom_site_label
_atom_site_type_symbol
_atom_site_fract_x
_atom_site_fract_y
_atom_site_fract_z
Zn1 Zn 0.0000 0.0000 0.0875
Sn1 Sn 0.0000 0.0000 0.5000
Sn2 Sn 0.0000 0.5000 0.0000
O1 O 0.0000 0.0000 0.2762
O2 O 0.0157 0.5079 0.2701
```